Starting from a DFT-relaxed cell (PBE, Alexandria), the powder X-ray diffraction pattern of Sm2NiSn3Pt4 was simulated for Cu Kα (weighted mean of Kα1 and Kα2).

Structure:
Cell: 4.189 4.189 11.996 Å, 90.00 90.00 90.00°
Space group P-4m2 (No. 115)
Unique sites:
Sm 0.000 0.500 0.225 (multiplicity 2)
Ni 0.500 0.500 0.000 (multiplicity 1)
Sn 0.000 0.000 0.000 (multiplicity 1)
Sn 0.000 0.500 0.639 (multiplicity 2)
Pt 0.000 0.000 0.500 (multiplicity 1)
Pt 0.000 0.500 0.857 (multiplicity 2)
Pt 0.500 0.500 0.500 (multiplicity 1)

The 10 most intense peaks (2θ from 15° to 90°), low angle first:
| 2θ/deg | I/Imax | hkl |
| --- | --- | --- |
| 22.23 | 16 | 0 0 3 |
| 30.91 | 41 | 1 0 3 |
| 33.75 | 100 | 1 1 2 |
| 42.91 | 44 | 1 1 4 |
| 43.19 | 59 | 2 0 0 |
| 43.47 | 35 | 1 0 5 |
| 54.05 | 17 | 2 1 3 |
| 62.73 | 20 | 2 2 0 |
| 62.94 | 24 | 2 1 5 |
| 73.16 | 22 | 3 1 2 |


Starting from a DFT-relaxed cell (PBE, Alexandria), the powder X-ray diffraction pattern of Ni4Sn2Pt was simulated for Cu Kα (weighted mean of Kα1 and Kα2).

Structure:
Cell: 9.166 5.071 8.939 Å, 90.00 90.00 90.00°
Space group Cmce (No. 64)
Unique sites:
Ni 0.000 0.126 0.225 (multiplicity 8)
Ni 0.250 0.196 0.750 (multiplicity 8)
Sn 0.165 0.000 0.000 (multiplicity 8)
Pt 0.000 0.000 0.500 (multiplicity 4)

The 10 most intense peaks (2θ from 15° to 90°), low angle first:
| 2θ/deg | I/Imax | hkl |
| --- | --- | --- |
| 19.86 | 18 | 0 0 2 |
| 35.40 | 16 | 0 2 0 |
| 35.75 | 100 | 3 1 1 |
| 40.36 | 46 | 0 0 4 |
| 40.92 | 57 | 0 2 2 |
| 41.96 | 16 | 2 2 1 |
| 46.17 | 63 | 3 1 3 |
| 62.96 | 16 | 3 1 5 |
| 63.78 | 22 | 3 3 1 |
| 86.11 | 14 | 6 2 4 |


Starting from a DFT-relaxed cell (PBE, Alexandria), the powder X-ray diffraction pattern of NiSnPt6 was simulated for Cu Kα (weighted mean of Kα1 and Kα2).

Structure:
Cell: 3.975 3.975 7.966 Å, 90.00 90.00 90.00°
Space group P4/mmm (No. 123)
Unique sites:
Ni 0.000 0.000 0.000 (multiplicity 1)
Sn 0.000 0.000 0.500 (multiplicity 1)
Pt 0.000 0.500 0.239 (multiplicity 4)
Pt 0.500 0.500 0.000 (multiplicity 1)
Pt 0.500 0.500 0.500 (multiplicity 1)

The 10 most intense peaks (2θ from 15° to 90°), low angle first:
| 2θ/deg | I/Imax | hkl |
| --- | --- | --- |
| 22.35 | 7 | 1 0 0 |
| 31.82 | 6 | 1 1 0 |
| 39.23 | 100 | 1 1 2 |
| 45.61 | 49 | 2 0 0 |
| 51.36 | 3 | 2 1 0 |
| 56.69 | 2 | 2 1 2 |
| 66.49 | 32 | 2 2 0 |
| 79.91 | 12 | 1 1 6 |
| 80.05 | 26 | 3 1 2 |
| 84.35 | 11 | 2 2 4 |


Starting from a DFT-relaxed cell (PBE, Alexandria), the powder X-ray diffraction pattern of NiSn6Pt2 was simulated for Cu Kα (weighted mean of Kα1 and Kα2).

Structure:
Cell: 6.139 6.139 11.975 Å, 90.00 90.00 90.00°
Space group P4_2/mnm (No. 136)
Unique sites:
Ni 0.000 0.000 0.000 (multiplicity 2)
Sn 0.196 0.196 0.159 (multiplicity 8)
Sn 0.211 0.211 0.500 (multiplicity 4)
Pt 0.000 0.000 0.334 (multiplicity 4)

The 10 most intense peaks (2θ from 15° to 90°), low angle first:
| 2θ/deg | I/Imax | hkl |
| --- | --- | --- |
| 20.46 | 82 | 1 1 0 |
| 30.42 | 100 | 1 1 3 |
| 32.62 | 31 | 2 1 0 |
| 39.85 | 88 | 2 1 3 |
| 41.61 | 44 | 2 2 0 |
| 45.45 | 26 | 0 0 6 |
| 50.10 | 62 | 3 0 3 |
| 52.41 | 18 | 3 1 3 |
| 63.31 | 25 | 2 2 6 |
| 89.39 | 26 | 5 2 3 |


Starting from a DFT-relaxed cell (PBE, Alexandria), the powder X-ray diffraction pattern of NiSnPt was simulated for Cu Kα (weighted mean of Kα1 and Kα2).

Structure:
Cell: 4.323 4.323 5.665 Å, 90.00 90.00 90.00°
Space group P4_2/mmc (No. 131)
Unique sites:
Ni 0.000 0.000 0.250 (multiplicity 2)
Sn 0.000 0.500 0.000 (multiplicity 2)
Pt 0.000 0.500 0.500 (multiplicity 2)

The 10 most intense peaks (2θ from 15° to 90°), low angle first:
| 2θ/deg | I/Imax | hkl |
| --- | --- | --- |
| 25.93 | 13 | 1 0 1 |
| 29.22 | 62 | 1 1 0 |
| 31.59 | 26 | 0 0 2 |
| 41.79 | 56 | 2 0 0 |
| 43.56 | 100 | 1 1 2 |
| 53.32 | 25 | 2 0 2 |
| 60.59 | 19 | 2 2 0 |
| 69.94 | 12 | 2 2 2 |
| 77.54 | 37 | 3 1 2 |
| 81.21 | 17 | 2 0 4 |


Starting from a DFT-relaxed cell (PBE, Alexandria), the powder X-ray diffraction pattern of NiSnPt14 was simulated for Cu Kα (weighted mean of Kα1 and Kα2).

Structure:
Cell: 9.311 5.596 9.687 Å, 90.00 90.00 90.00°
Space group Amm2 (No. 38)
Unique sites:
Ni 0.000 0.000 0.000 (multiplicity 2)
Sn 0.000 0.000 0.501 (multiplicity 2)
Pt 0.000 0.250 0.253 (multiplicity 4)
Pt 0.244 0.247 0.079 (multiplicity 8)
Pt 0.246 0.000 0.831 (multiplicity 4)
Pt 0.251 0.000 0.328 (multiplicity 4)
Pt 0.500 0.000 0.157 (multiplicity 2)
Pt 0.500 0.000 0.659 (multiplicity 2)
Pt 0.500 0.250 0.409 (multiplicity 4)

The 10 most intense peaks (2θ from 15° to 90°), low angle first:
| 2θ/deg | I/Imax | hkl |
| --- | --- | --- |
| 37.12 | 11 | 0 0 4 |
| 38.40 | 36 | 1 0 4 |
| 38.68 | 35 | 4 0 0 |
| 42.05 | 100 | 2 2 2 |
| 47.62 | 19 | 3 0 4 |
| 62.96 | 9 | 5 0 4 |
| 66.90 | 21 | 0 4 0 |
| 72.31 | 20 | 6 2 2 |
| 80.04 | 26 | 4 4 0 |
| 82.25 | 15 | 2 0 8 |


Starting from a DFT-relaxed cell (PBE, Alexandria), the powder X-ray diffraction pattern of TiNi7Sn2Pt2 was simulated for Cu Kα (weighted mean of Kα1 and Kα2).

Structure:
Cell: 4.951 4.950 14.181 Å, 90.00 99.99 90.00°
Space group C2/m (No. 12)
Unique sites:
Ti 0.000 0.000 0.000 (multiplicity 2)
Ni 0.000 0.500 0.000 (multiplicity 2)
Ni 0.185 0.250 0.869 (multiplicity 8)
Ni 0.229 0.500 0.459 (multiplicity 4)
Sn 0.179 0.000 0.361 (multiplicity 4)
Pt 0.133 0.500 0.269 (multiplicity 4)

The 10 most intense peaks (2θ from 15° to 90°), low angle first:
| 2θ/deg | I/Imax | hkl |
| --- | --- | --- |
| 30.13 | 42 | 1 1 2 |
| 34.07 | 32 | 1 1 -4 |
| 36.29 | 59 | 0 2 0 |
| 36.88 | 47 | 2 0 -2 |
| 41.31 | 71 | 2 0 -4 |
| 44.06 | 100 | 1 1 -6 |
| 44.89 | 52 | 2 0 3 |
| 52.27 | 71 | 2 2 -1 |
| 70.69 | 50 | 3 1 -7 |
| 86.06 | 31 | 2 0 -12 |


Starting from a DFT-relaxed cell (PBE, Alexandria), the powder X-ray diffraction pattern of VNi7Sn2Pt2 was simulated for Cu Kα (weighted mean of Kα1 and Kα2).

Structure:
Cell: 4.926 4.926 14.112 Å, 90.00 100.01 90.00°
Space group C2/m (No. 12)
Unique sites:
V 0.000 0.000 0.000 (multiplicity 2)
Ni 0.000 0.500 0.000 (multiplicity 2)
Ni 0.187 0.250 0.873 (multiplicity 8)
Ni 0.229 0.500 0.459 (multiplicity 4)
Sn 0.179 0.000 0.360 (multiplicity 4)
Pt 0.132 0.500 0.267 (multiplicity 4)

The 10 most intense peaks (2θ from 15° to 90°), low angle first:
| 2θ/deg | I/Imax | hkl |
| --- | --- | --- |
| 30.28 | 45 | 1 1 2 |
| 34.25 | 29 | 1 1 -4 |
| 36.48 | 60 | 0 2 0 |
| 37.07 | 47 | 2 0 -2 |
| 41.53 | 66 | 2 0 -4 |
| 44.29 | 100 | 1 1 -6 |
| 45.12 | 56 | 2 0 3 |
| 52.55 | 72 | 2 2 -1 |
| 71.10 | 49 | 3 1 -7 |
| 77.54 | 32 | 0 4 0 |